(1)
This entry pairs a crystal structure of MgW2O5 with its theoretical powder diffractogram. Radiation: Cu Kα, 1.54184 Å. Structure: a cell relaxed with PBE+U.
No peak broadening, texture or thermal motion is included.

Cell and atoms:
```
MgW2O5
1.0
3.223 0.000 0.000
0.051 5.234 0.000
0.153 1.141 12.492
Mg W O
2 4 10
direct
0.000 0.000 0.000 Mg
0.463 0.202 0.446 Mg
0.491 0.503 0.119 W
0.496 0.529 0.835 W
0.978 0.702 0.327 W
0.999 0.689 0.612 W
0.001 0.302 0.879 O
0.469 0.915 0.571 O
0.485 0.455 0.281 O
0.487 0.722 0.965 O
0.496 0.189 0.059 O
0.508 0.452 0.685 O
0.968 0.487 0.480 O
0.969 0.036 0.382 O
0.988 0.762 0.146 O
0.995 0.757 0.779 O
```

Principal peaks in the range 5 to 70 degrees two-theta, in order of rising 2θ:
| hkl | 2θ (°) | I (rel.) |
| --- | --- | --- |
| 0 1 0 | 17.01 | 100 |
| 0 1 1 | 17.83 | 14 |
| 0 0 4 | 28.58 | 61 |
| 1 0 -1 | 28.69 | 15 |
| 0 1 4 | 32.04 | 22 |
| 1 1 1 | 32.93 | 13 |
| -1 1 1 | 33.32 | 13 |
| 1 0 3 | 35.02 | 18 |
| 1 0 -3 | 35.42 | 16 |
| 1 -2 0 | 44.92 | 13 |


(2)
This entry pairs a crystal structure of MgWO5 with its theoretical powder diffractogram. Radiation: Cu Kα, 1.54184 Å. Structure: a cell relaxed with PBE+U.
No peak broadening, texture or thermal motion is included.

Cell and atoms:
```
MgWO5
1.0
5.731 0.000 0.000
-1.868 5.809 0.000
-0.394 -1.763 6.776
Mg W O
2 2 10
direct
0.115 0.221 0.187 Mg
0.885 0.779 0.813 Mg
0.256 0.371 0.748 W
0.744 0.629 0.252 W
0.111 0.137 0.876 O
0.142 0.617 0.814 O
0.172 0.251 0.484 O
0.371 0.046 0.255 O
0.412 0.519 0.197 O
0.588 0.481 0.803 O
0.629 0.954 0.745 O
0.828 0.749 0.516 O
0.858 0.383 0.186 O
0.889 0.863 0.124 O
```

Principal peaks in the range 5 to 70 degrees two-theta, in order of rising 2θ:
| hkl | 2θ (°) | I (rel.) |
| --- | --- | --- |
| 0 1 0 | 15.76 | 66 |
| 0 1 -1 | 17.78 | 34 |
| 1 -1 0 | 18.68 | 98 |
| 1 0 -1 | 19.59 | 63 |
| 1 0 1 | 22.36 | 58 |
| 0 0 2 | 26.32 | 100 |
| 1 1 -1 | 26.54 | 40 |
| 1 -2 0 | 30.67 | 33 |
| 0 2 -1 | 31.23 | 30 |
| -1 2 2 | 44.69 | 34 |


(3)
This entry pairs a crystal structure of Mg2W9O13 with its theoretical powder diffractogram. Radiation: Cu Kα, 1.54184 Å. Structure: a cell relaxed with PBE+U.
No peak broadening, texture or thermal motion is included.

Cell and atoms:
```
Mg2W9O13
1.0
3.223 0.000 0.000
1.547 5.306 0.000
0.561 2.042 19.030
Mg W O
2 9 13
direct
0.185 0.024 0.236 Mg
0.815 0.976 0.764 Mg
0.000 0.500 0.500 W
0.097 0.471 0.687 W
0.153 0.265 0.884 W
0.357 0.981 0.605 W
0.382 0.780 0.950 W
0.618 0.220 0.050 W
0.643 0.019 0.395 W
0.847 0.735 0.116 W
0.903 0.529 0.313 W
0.000 0.500 0.000 O
0.018 0.276 0.411 O
0.196 0.036 0.118 O
0.208 0.199 0.778 O
0.264 0.800 0.341 O
0.466 0.488 0.123 O
0.467 0.736 0.710 O
0.533 0.264 0.290 O
0.534 0.512 0.877 O
0.736 0.200 0.659 O
0.792 0.801 0.222 O
0.804 0.964 0.882 O
0.982 0.724 0.589 O
```

Principal peaks in the range 5 to 70 degrees two-theta, in order of rising 2θ:
| hkl | 2θ (°) | I (rel.) |
| --- | --- | --- |
| 0 0 2 | 9.29 | 38 |
| 1 1 0 | 29.15 | 48 |
| 1 0 -1 | 29.24 | 36 |
| 0 1 -5 | 30.39 | 100 |
| 0 1 6 | 31.32 | 82 |
| 1 0 -3 | 32.17 | 32 |
| 0 2 1 | 33.80 | 59 |
| 1 0 -5 | 37.46 | 28 |
| -1 1 1 | 37.62 | 28 |
| 1 -1 4 | 43.15 | 28 |